For VBiPtO6, a GGA+U-relaxed structure gives the theoretical X-ray diffraction stick pattern in this record (Cu Ka).
Intensities are scaled so that the largest is 100.

```
data_VBiPtO6
_symmetry_space_group_name_H-M 'P 42 n m'
_symmetry_Int_Tables_number 102
_cell_length_a 4.7847
_cell_length_b 4.7847
_cell_length_c 9.7320
_cell_angle_alpha 90.00
_cell_angle_beta 90.00
_cell_angle_gamma 90.00
loop_
_symmetry_equiv_pos_as_xyz
'x,y,z'
'-y+1/2,x+1/2,z+1/2'
'-x,-y,z'
'y+1/2,-x+1/2,z+1/2'
'-x+1/2,y+1/2,z+1/2'
'y,x,z'
'x+1/2,-y+1/2,z+1/2'
'-y,-x,z'
loop_
_atom_site_label
_atom_site_type_symbol
_atom_site_fract_x
_atom_site_fract_y
_atom_site_fract_z
V1 V 0.0000 0.0000 0.0000
Bi1 Bi 0.0000 0.0000 0.6690
Pt1 Pt 0.0000 0.0000 0.3360
O1 O 0.1720 0.1720 0.1639
O2 O 0.2007 0.2007 0.8512
O3 O 0.2091 0.2091 0.4894
```

Most intense lines, 2θ from 10° to 80°, by angle:
2θ = 20.69°, 4.294 Å, I = 32, (1 0 1); 2θ = 26.34°, 3.383 Å, I = 100, (1 1 0); 2θ = 33.37°, 2.685 Å, I = 88, (1 0 3); 2θ = 37.60°, 2.392 Å, I = 26, (2 0 0); 2θ = 51.14°, 1.786 Å, I = 68, (2 1 3); 2θ = 54.22°, 1.692 Å, I = 16, (2 2 0); 2θ = 61.26°, 1.513 Å, I = 16, (3 1 0); 2θ = 63.62°, 1.463 Å, I = 17, (1 1 6); 2θ = 65.18°, 1.431 Å, I = 19, (3 0 3); 2θ = 77.76°, 1.228 Å, I = 15, (3 2 3)